Diffraction record for Nd8Ag3Sb2. The powder diffractogram is simulated, not measured: it uses the PBE geometry in Alexandria and Cu Kα, 1.54184 Å.
Peak positions follow from Bragg's law for the DFT cell and can differ from measured ones.

Main lines, low angle first (5 to 70 degrees two-theta):
2θ = 27.58°, rel. 70
2θ = 27.92°, rel. 52
2θ = 30.45°, rel. 37
2θ = 30.88°, rel. 79
2θ = 31.07°, rel. 100
2θ = 34.16°, rel. 75
2θ = 34.71°, rel. 86
2θ = 35.08°, rel. 50
2θ = 42.20°, rel. 29
2θ = 63.44°, rel. 28

Structural model:
Lattice parameters (Å, degrees): 15.3877 8.5683 6.2799 90.00 91.63 90.00
Space group C2/m (No. 12)
Unique sites:
Nd  0.0883  0.0000  0.3621
Nd  0.1146  0.2131  0.8648
Nd  0.1802  0.5000  0.3929
Ag  0.0000  0.3338  0.5000
Ag  0.0000  0.5000  0.0000
Sb  0.2401  0.5000  0.9018